K3MgTl2O6: simulated powder diffraction line list (CuKα), based on a DFT-relaxed cell (PBE, Alexandria).

Top 6 peaks for 2θ = 10–90°, sorted by position:
| d_spacing | I/Imax | hkl |
| --- | --- | --- |
| 6.164 | 86.7 | 0 0 1 |
| 3.082 | 33.3 | 0 0 2 |
| 2.908 | 31.7 | 2 0 -1 |
| 2.806 | 70.4 | 2 0 0 |
| 2.484 | 100.0 | 1 3 1 |
| 1.818 | 34.0 | 2 0 2 |

Atomic structure:
Cell: 5.893 10.193 6.471 Å, 90.00 107.75 90.00°
Space group C2/m (No. 12)
Asymmetric unit:
K  0.000  0.000  0.000
K  0.000  0.334  0.000
Mg  0.000  0.500  0.500
Tl  0.000  0.167  0.500
O  0.222  0.340  0.690
O  0.244  0.000  0.689

---

Pr5Pu2O12: simulated powder diffraction line list (CuKα), based on a DFT-relaxed cell (PBE, Alexandria).

Top 6 peaks for 2θ = 10–90°, sorted by position:
| d_spacing | I/Imax | hkl |
| --- | --- | --- |
| 3.498 | 89.3 | 3 1 0 |
| 3.334 | 96.2 | 1 1 -2 |
| 2.954 | 57.9 | 0 2 1 |
| 2.846 | 100.0 | 2 0 2 |
| 2.434 | 64.9 | 0 2 2 |
| 1.761 | 58.8 | 6 2 -2 |

Atomic structure:
Cell: 13.098 6.438 7.794 Å, 90.00 107.39 90.00°
Space group C2/m (No. 12)
Asymmetric unit:
Pr  0.000  0.000  0.000
Pr  0.195  0.500  0.326
Pr  0.201  0.500  0.865
Pu  0.000  0.246  0.500
O  0.000  0.000  0.308
O  0.002  0.500  0.310
O  0.155  0.250  0.075
O  0.168  0.269  0.586

---

What did the second record say?
Pr5Pu2O12: simulated powder diffraction line list (CuKα), based on a DFT-relaxed cell (PBE, Alexandria).

Top 6 peaks for 2θ = 10–90°, sorted by position:
| d_spacing | I/Imax | hkl |
| --- | --- | --- |
| 3.498 | 89.3 | 3 1 0 |
| 3.334 | 96.2 | 1 1 -2 |
| 2.954 | 57.9 | 0 2 1 |
| 2.846 | 100.0 | 2 0 2 |
| 2.434 | 64.9 | 0 2 2 |
| 1.761 | 58.8 | 6 2 -2 |

Atomic structure:
Cell: 13.098 6.438 7.794 Å, 90.00 107.39 90.00°
Space group C2/m (No. 12)
Asymmetric unit:
Pr  0.000  0.000  0.000
Pr  0.195  0.500  0.326
Pr  0.201  0.500  0.865
Pu  0.000  0.246  0.500
O  0.000  0.000  0.308
O  0.002  0.500  0.310
O  0.155  0.250  0.075
O  0.168  0.269  0.586

---

- Number 1 is which compound?
  K3MgTl2O6